No. 1
Calculated powder diffractogram of CeCdPt for Cu Kα X-rays, from a PBE-relaxed structure.

Peak list (8 most intense, 2θ from 5° to 70°, low angle first)
2θ/deg, Rel. int., hkl
32.25, 73.6, 1 1 1
35.04, 100.0, 2 0 1
35.79, 32.8, 2 1 0
40.78, 46.8, 3 0 0
42.46, 44.5, 2 1 1
45.05, 26.5, 0 0 2
62.37, 26.8, 3 0 2
65.54, 33.4, 3 2 1

Unit cell a=7.6642 b=7.6642 c=4.0252 alpha=90.00 beta=90.00 gamma=120.00
Space group P-62m (No. 189)
Symmetry-distinct sites (fractional):
Ce 0.0000 0.5929 0.0000 [3 per cell]
Cd 0.0000 0.2526 0.5000 [3 per cell]
Pt 0.0000 0.0000 0.0000 [1 per cell]
Pt 0.3333 0.6667 0.5000 [2 per cell]

No. 2
Calculated powder diffractogram of CeCd4Pt4 for Cu Kα X-rays, from a PBE-relaxed structure.

Peak list (8 most intense, 2θ from 5° to 70°, low angle first)
2θ/deg, Rel. int., hkl
19.22, 32.2, 1 0 1
32.32, 100.0, 1 3 0
34.55, 41.9, 1 0 2
40.39, 30.4, 1 2 2
40.68, 36.8, 2 3 1
45.60, 27.6, 3 0 2
46.36, 26.0, 4 2 0
50.38, 30.5, 3 2 2

Unit cell a=8.7595 b=8.7595 c=5.4359 alpha=90.00 beta=90.00 gamma=90.00
Space group P4_2/n (No. 86, origin choice 2)
Symmetry-distinct sites (fractional):
Ce 0.2500 0.2500 0.2500 [2 per cell]
Cd 0.0876 0.6542 0.1465 [8 per cell]
Pt 0.0229 0.6178 0.6529 [8 per cell]

No. 3
Calculated powder diffractogram of CeCd3Pt4 for Cu Kα X-rays, from a PBE-relaxed structure.

Peak list (6 most intense, 2θ from 5° to 70°, low angle first)
2θ/deg, Rel. int., hkl
26.52, 6.2, 2 0 0
37.86, 100.0, 2 2 0
46.82, 2.0, 2 2 2
54.61, 17.3, 4 0 0
61.72, 2.8, 4 2 0
68.37, 35.1, 4 2 2

Unit cell a=6.7217 b=6.7217 c=6.7217 alpha=90.00 beta=90.00 gamma=90.00
Space group Im-3m (No. 229)
Symmetry-distinct sites (fractional):
Ce 0.0000 0.0000 0.0000 [2 per cell]
Cd 0.0000 0.0000 0.5000 [6 per cell]
Pt 0.2500 0.2500 0.2500 [8 per cell]